[1]
Theoretical powder diffractogram
Compound: Nd2Zr2O7
Radiation: a wavelength of 1.5418 Å
Structure: a crystal structure in Alexandria, relaxed with GGA-PBE
Peak positions follow from Bragg's law for the DFT cell and can differ from measured ones.

Peak list (10 most intense, 5 to 70 degrees two-theta, low angle first)
d 3.148, intensity 100; d 3.053, intensity 93; d 2.750, intensity 17; d 2.653, intensity 39; d 1.919, intensity 18; d 1.909, intensity 67; d 1.836, intensity 17; d 1.640, intensity 12; d 1.625, intensity 28; d 1.586, intensity 26

Cell lengths 7.678, 3.671, 11.000 Å; angles 90.00, 90.00, 90.00 degrees
Atoms (fractional coordinates):
Nd 0.000 0.000 0.000
Nd 0.250 0.500 0.278
Nd 0.500 0.000 0.000
Nd 0.750 0.500 0.722
Zr 0.000 0.000 0.500
Zr 0.250 0.500 0.739
Zr 0.500 0.000 0.500
Zr 0.750 0.500 0.261
O 0.025 0.500 0.614
O 0.039 0.500 0.133
O 0.250 0.000 0.400
O 0.250 0.000 0.633
O 0.250 0.000 0.870
O 0.461 0.500 0.133
O 0.475 0.500 0.614
O 0.525 0.500 0.386
O 0.539 0.500 0.867
O 0.750 0.000 0.130
O 0.750 0.000 0.367
O 0.750 0.000 0.600
O 0.961 0.500 0.867
O 0.975 0.500 0.386

***

[2]
Theoretical powder diffractogram
Compound: Nd4AsBr5
Radiation: a wavelength of 1.5418 Å
Structure: a crystal structure in Alexandria, relaxed with GGA-PBE
Peak positions follow from Bragg's law for the DFT cell and can differ from measured ones.

Peak list (10 most intense, 5 to 70 degrees two-theta, low angle first)
d 9.091, intensity 18; d 8.415, intensity 42; d 3.047, intensity 9; d 3.030, intensity 49; d 3.003, intensity 100; d 2.161, intensity 18; d 2.133, intensity 70; d 2.088, intensity 18; d 1.719, intensity 18; d 1.502, intensity 11

Cell lengths 9.570, 9.570, 8.645 Å; angles 102.92, 102.92, 25.20 degrees
Atoms (fractional coordinates):
Nd 0.000 0.000 0.226
Nd 0.000 0.000 0.774
Nd 0.346 0.346 0.919
Nd 0.654 0.654 0.081
As 0.500 0.500 0.000
Br 0.167 0.167 0.335
Br 0.171 0.171 0.835
Br 0.500 0.500 0.500
Br 0.829 0.829 0.165
Br 0.833 0.833 0.665

***

[3]
Theoretical powder diffractogram
Compound: La5HoSn5
Radiation: a wavelength of 1.5418 Å
Structure: a crystal structure in Alexandria, relaxed with GGA-PBE
Peak positions follow from Bragg's law for the DFT cell and can differ from measured ones.

Peak list (10 most intense, 5 to 70 degrees two-theta, low angle first)
d 3.149, intensity 54; d 3.077, intensity 100; d 2.995, intensity 23; d 2.937, intensity 56; d 2.868, intensity 45; d 2.755, intensity 68; d 2.579, intensity 42; d 2.201, intensity 45; d 2.124, intensity 46; d 2.053, intensity 59

Cell lengths 9.155, 9.155, 7.301 Å; angles 105.54, 105.54, 39.28 degrees
Atoms (fractional coordinates):
La 0.000 0.000 0.000
La 0.318 0.318 0.229
La 0.342 0.342 0.732
La 0.658 0.658 0.268
La 0.682 0.682 0.771
Ho 0.000 0.000 0.500
Sn 0.160 0.160 0.872
Sn 0.163 0.163 0.419
Sn 0.500 0.500 0.500
Sn 0.837 0.837 0.581
Sn 0.840 0.840 0.128

***

[4]
Theoretical powder diffractogram
Compound: CaTl2Ag
Radiation: a wavelength of 1.5418 Å
Structure: a crystal structure in Alexandria, relaxed with GGA-PBE
Peak positions follow from Bragg's law for the DFT cell and can differ from measured ones.

Peak list (10 most intense, 5 to 70 degrees two-theta, low angle first)
d 5.113, intensity 31; d 4.899, intensity 40; d 4.412, intensity 37; d 3.920, intensity 30; d 2.930, intensity 88; d 2.913, intensity 61; d 2.655, intensity 67; d 2.522, intensity 35; d 2.431, intensity 100; d 2.205, intensity 41

Cell lengths 7.840, 8.823, 6.274 Å; angles 90.00, 90.00, 90.00 degrees
Atoms (fractional coordinates):
Ca 0.022 0.250 0.084
Ca 0.478 0.750 0.584
Ca 0.522 0.250 0.416
Ca 0.978 0.750 0.916
Tl 0.191 0.038 0.659
Tl 0.191 0.462 0.659
Tl 0.309 0.538 0.159
Tl 0.309 0.962 0.159
Tl 0.691 0.038 0.841
Tl 0.691 0.462 0.841
Tl 0.809 0.538 0.341
Tl 0.809 0.962 0.341
Ag 0.089 0.750 0.428
Ag 0.411 0.250 0.928
Ag 0.589 0.750 0.072
Ag 0.911 0.250 0.572

***

[5]
Theoretical powder diffractogram
Compound: Nd12Er2Tl5
Radiation: a wavelength of 1.5418 Å
Structure: a crystal structure in Alexandria, relaxed with GGA-PBE
Peak positions follow from Bragg's law for the DFT cell and can differ from measured ones.

Peak list (10 most intense, 5 to 70 degrees two-theta, low angle first)
d 3.295, intensity 32; d 3.002, intensity 30; d 2.911, intensity 100; d 2.886, intensity 43; d 2.810, intensity 52; d 2.794, intensity 40; d 2.721, intensity 36; d 2.623, intensity 65; d 2.534, intensity 66; d 1.581, intensity 27

Cell lengths 8.646, 8.646, 8.862 Å; angles 94.25, 94.25, 69.91 degrees
Atoms (fractional coordinates):
Nd 0.085 0.680 0.137
Nd 0.087 0.087 0.177
Nd 0.161 0.530 0.703
Nd 0.320 0.915 0.863
Nd 0.405 0.405 0.357
Nd 0.470 0.839 0.297
Nd 0.530 0.161 0.703
Nd 0.595 0.595 0.643
Nd 0.680 0.085 0.137
Nd 0.839 0.470 0.297
Nd 0.913 0.913 0.823
Nd 0.915 0.320 0.863
Er 0.167 0.833 0.500
Er 0.833 0.167 0.500
Tl 0.191 0.191 0.518
Tl 0.282 0.282 0.013
Tl 0.500 0.500 0.000
Tl 0.718 0.718 0.987
Tl 0.809 0.809 0.482

***

[6]
Theoretical powder diffractogram
Compound: CrNiSnPd
Radiation: a wavelength of 1.5418 Å
Structure: a crystal structure in Alexandria, relaxed with GGA-PBE
Peak positions follow from Bragg's law for the DFT cell and can differ from measured ones.

Peak list (5 most intense, 5 to 70 degrees two-theta, low angle first)
d 3.621, intensity 13; d 2.218, intensity 100; d 1.891, intensity 7; d 1.568, intensity 16; d 1.439, intensity 3

Cell lengths 6.273, 6.273, 6.273 Å; angles 90.00, 90.00, 90.00 degrees
Atoms (fractional coordinates):
Cr 0.000 0.000 0.000
Cr 0.000 0.500 0.500
Cr 0.500 0.000 0.500
Cr 0.500 0.500 0.000
Ni 0.250 0.250 0.750
Ni 0.250 0.750 0.250
Ni 0.750 0.250 0.250
Ni 0.750 0.750 0.750
Sn 0.000 0.000 0.500
Sn 0.000 0.500 0.000
Sn 0.500 0.000 0.000
Sn 0.500 0.500 0.500
Pd 0.250 0.250 0.250
Pd 0.250 0.750 0.750
Pd 0.750 0.250 0.750
Pd 0.750 0.750 0.250

***

[7]
Theoretical powder diffractogram
Compound: BeReNi6
Radiation: a wavelength of 1.5418 Å
Structure: a crystal structure in Alexandria, relaxed with GGA-PBE
Peak positions follow from Bragg's law for the DFT cell and can differ from measured ones.

Peak list (10 most intense, 5 to 70 degrees two-theta, low angle first)
d 10.031, intensity 20; d 5.753, intensity 15; d 4.483, intensity 10; d 3.781, intensity 12; d 3.316, intensity 4; d 2.765, intensity 7; d 2.585, intensity 5; d 2.041, intensity 100; d 1.772, intensity 31; d 1.757, intensity 15

Cell lengths 6.120, 6.120, 10.031 Å; angles 90.00, 90.00, 109.93 degrees
Atoms (fractional coordinates):
Be 0.000 0.000 0.237
Be 0.000 0.000 0.763
Be 0.257 0.743 0.000
Be 0.743 0.257 0.000
Re 0.253 0.747 0.500
Re 0.500 0.500 0.240
Re 0.500 0.500 0.760
Re 0.747 0.253 0.500
Ni 0.000 0.000 0.000
Ni 0.000 0.000 0.500
Ni 0.120 0.371 0.122
Ni 0.120 0.371 0.878
Ni 0.122 0.369 0.371
Ni 0.122 0.369 0.629
Ni 0.250 0.750 0.247
Ni 0.250 0.750 0.753
Ni 0.369 0.122 0.371
Ni 0.369 0.122 0.629
Ni 0.371 0.120 0.122
Ni 0.371 0.120 0.878
Ni 0.500 0.500 0.000
Ni 0.500 0.500 0.500
Ni 0.629 0.880 0.122
Ni 0.629 0.880 0.878
Ni 0.631 0.878 0.371
Ni 0.631 0.878 0.629
Ni 0.750 0.250 0.247
Ni 0.750 0.250 0.753
Ni 0.878 0.631 0.371
Ni 0.878 0.631 0.629
Ni 0.880 0.629 0.122
Ni 0.880 0.629 0.878

***

[8]
Theoretical powder diffractogram
Compound: NbVCo6
Radiation: a wavelength of 1.5418 Å
Structure: a crystal structure in Alexandria, relaxed with GGA-PBE
Peak positions follow from Bragg's law for the DFT cell and can differ from measured ones.

Peak list (10 most intense, 5 to 70 degrees two-theta, low angle first)
d 3.974, intensity 3; d 2.349, intensity 2; d 2.185, intensity 35; d 2.141, intensity 22; d 2.053, intensity 52; d 1.987, intensity 100; d 1.891, intensity 84; d 1.690, intensity 10; d 1.593, intensity 12; d 1.415, intensity 7

Cell lengths 12.664, 12.664, 12.664 Å; angles 23.15, 23.15, 23.15 degrees
Atoms (fractional coordinates):
Nb 0.000 0.000 0.000
Nb 0.218 0.218 0.218
Nb 0.499 0.499 0.499
V 0.109 0.109 0.109
V 0.609 0.609 0.609
V 0.718 0.718 0.718
Co 0.008 0.493 0.493
Co 0.102 0.610 0.610
Co 0.110 0.110 0.608
Co 0.110 0.608 0.110
Co 0.207 0.729 0.729
Co 0.228 0.228 0.707
Co 0.228 0.707 0.228
Co 0.493 0.008 0.493
Co 0.493 0.493 0.008
Co 0.511 0.988 0.988
Co 0.608 0.110 0.110
Co 0.610 0.102 0.610
Co 0.610 0.610 0.102
Co 0.707 0.228 0.228
Co 0.729 0.207 0.729
Co 0.729 0.729 0.207
Co 0.988 0.511 0.988
Co 0.988 0.988 0.511